Theoretical powder X-ray diffraction pattern of NdGa7Co5 for Cu Ka, from the GGA-PBE geometry in Alexandria.

Most intense lines, 15° ≤ 2θ ≤ 90°, low angle first:
d/Å  two_theta  Rel. int.
2.555  35.1  29.5
2.504  35.9  42.6
2.473  36.3  28.5
2.198  41.1  40.4
2.188  41.3  38.9
2.155  41.9  100.0
2.145  42.1  50.6
2.120  42.7  34.0
1.951  46.5  49.5
1.385  67.7  16.6
1.252  76.0  17.2
1.231  77.6  16.3

Structure:
abc: 5.1098 8.6168 8.4789
angles: 90.00 90.00 90.00
Space group Imm2 (No. 44)
Symmetry-distinct sites (fractional):
Nd 0.0000 0.0000 0.0000
Ga 0.0000 0.0000 0.3487
Ga 0.0000 0.0000 0.6628
Ga 0.0000 0.2964 0.4891
Ga 0.0000 0.3430 0.0273
Ga 0.0000 0.5000 0.7392
Co 0.0000 0.5000 0.2724
Co 0.2375 0.2569 0.7545



Theoretical powder X-ray diffraction pattern of CuPbCl3 for Cu Ka, from the GGA-PBE geometry in Alexandria.

Most intense lines, 15° ≤ 2θ ≤ 90°, low angle first:
d/Å  two_theta  Rel. int.
5.791  15.3  44.3
4.763  18.6  89.2
3.762  23.7  37.3
3.439  25.9  100.0
3.394  26.3  63.3
2.884  31.0  35.9
2.799  32.0  40.8
2.447  36.7  55.5
2.422  37.1  23.9
2.382  37.8  30.6
2.375  37.9  24.1
1.841  49.5  24.1

Structure:
abc: 4.1892 5.9534 6.1926
angles: 76.59 89.97 89.96
Space group P1 (No. 1)
Symmetry-distinct sites (fractional):
Cu 0.0000 0.0000 0.0000
Pb 0.5022 0.5651 0.6426
Cl 0.0019 0.3986 0.9638
Cl 0.0020 0.8247 0.3755
Cl 0.5011 0.9323 0.8439